No. 1
Computed XRD peak list of Lu3Mg4 for Cu Kα (weighted mean of Kα1 and Kα2), from DFT lattice parameters and positions (GGA-PBE).
Neutral-atom scattering factors, no anomalous dispersion.

Structural model:
```
data_Lu3Mg4
_chemical_formula_sum 'Lu6 Mg8'
_symmetry_space_group_name_H-M 'P 1'
_symmetry_Int_Tables_number 1
_cell_length_a 8.870
_cell_length_b 8.870
_cell_length_c 5.337
_cell_angle_alpha 90.00
_cell_angle_beta 90.00
_cell_angle_gamma 120.00
loop_
_symmetry_equiv_pos_as_xyz
'x,y,z'
loop_
_atom_site_label
_atom_site_type_symbol
_atom_site_fract_x
_atom_site_fract_y
_atom_site_fract_z
_atom_site_occupancy
Lu1 Lu 0.059 0.246 0.250 1
Lu2 Lu 0.187 0.941 0.250 1
Lu3 Lu 0.246 0.187 0.750 1
Lu4 Lu 0.754 0.813 0.250 1
Lu5 Lu 0.813 0.059 0.750 1
Lu6 Lu 0.941 0.754 0.750 1
Mg1 Mg 0.098 0.482 0.750 1
Mg2 Mg 0.333 0.667 0.250 1
Mg3 Mg 0.384 0.902 0.750 1
Mg4 Mg 0.482 0.384 0.250 1
Mg5 Mg 0.518 0.616 0.750 1
Mg6 Mg 0.616 0.098 0.250 1
Mg7 Mg 0.667 0.333 0.750 1
Mg8 Mg 0.902 0.518 0.250 1
```

Peak list (12 most intense, 5° ≤ 2θ ≤ 70°, by angle)
2θ = 11.52°, intensity 87
2θ = 26.12°, intensity 24
2θ = 28.63°, intensity 24
2θ = 30.79°, intensity 26
2θ = 33.58°, intensity 25
2θ = 35.19°, intensity 100
2θ = 39.01°, intensity 13
2θ = 46.20°, intensity 17
2θ = 54.76°, intensity 18
2θ = 61.09°, intensity 20
2θ = 65.79°, intensity 21
2θ = 66.78°, intensity 14

=====

No. 2
Computed XRD peak list of LuMg for Cu Kα (weighted mean of Kα1 and Kα2), from DFT lattice parameters and positions (GGA-PBE).
Neutral-atom scattering factors, no anomalous dispersion.

Structural model:
```
data_LuMg
_chemical_formula_sum 'Lu4 Mg4'
_symmetry_space_group_name_H-M 'P 1'
_symmetry_Int_Tables_number 1
_cell_length_a 6.702
_cell_length_b 5.863
_cell_length_c 5.372
_cell_angle_alpha 90.00
_cell_angle_beta 90.00
_cell_angle_gamma 90.00
loop_
_symmetry_equiv_pos_as_xyz
'x,y,z'
loop_
_atom_site_label
_atom_site_type_symbol
_atom_site_fract_x
_atom_site_fract_y
_atom_site_fract_z
_atom_site_occupancy
Lu1 Lu 0.132 0.077 0.250 1
Lu2 Lu 0.132 0.423 0.750 1
Lu3 Lu 0.868 0.577 0.250 1
Lu4 Lu 0.868 0.923 0.750 1
Mg1 Mg 0.372 0.589 0.250 1
Mg2 Mg 0.372 0.911 0.750 1
Mg3 Mg 0.628 0.089 0.250 1
Mg4 Mg 0.628 0.411 0.750 1
```

Peak list (12 most intense, 5° ≤ 2θ ≤ 70°, by angle)
2θ = 13.21°, intensity 81
2θ = 20.12°, intensity 16
2θ = 26.13°, intensity 66
2θ = 30.73°, intensity 21
2θ = 33.36°, intensity 44
2θ = 34.87°, intensity 46
2θ = 35.08°, intensity 100
2θ = 36.03°, intensity 15
2θ = 37.44°, intensity 18
2θ = 54.36°, intensity 27
2θ = 60.74°, intensity 21
2θ = 65.28°, intensity 21

=====

No. 3
Computed XRD peak list of Lu3Mg4 for Cu Kα (weighted mean of Kα1 and Kα2), from DFT lattice parameters and positions (GGA-PBE).
Neutral-atom scattering factors, no anomalous dispersion.

Structural model:
```
data_Lu3Mg4
_chemical_formula_sum 'Lu6 Mg8'
_symmetry_space_group_name_H-M 'P 1'
_symmetry_Int_Tables_number 1
_cell_length_a 8.899
_cell_length_b 8.899
_cell_length_c 5.288
_cell_angle_alpha 90.00
_cell_angle_beta 90.00
_cell_angle_gamma 120.00
loop_
_symmetry_equiv_pos_as_xyz
'x,y,z'
loop_
_atom_site_label
_atom_site_type_symbol
_atom_site_fract_x
_atom_site_fract_y
_atom_site_fract_z
_atom_site_occupancy
Lu1 Lu 0.099 0.627 0.250 1
Lu2 Lu 0.373 0.471 0.250 1
Lu3 Lu 0.471 0.099 0.750 1
Lu4 Lu 0.529 0.901 0.250 1
Lu5 Lu 0.627 0.529 0.750 1
Lu6 Lu 0.901 0.373 0.750 1
Mg1 Mg 0.048 0.812 0.750 1
Mg2 Mg 0.188 0.236 0.750 1
Mg3 Mg 0.236 0.048 0.250 1
Mg4 Mg 0.333 0.667 0.750 1
Mg5 Mg 0.667 0.333 0.250 1
Mg6 Mg 0.764 0.952 0.750 1
Mg7 Mg 0.812 0.764 0.250 1
Mg8 Mg 0.952 0.188 0.250 1
```

Peak list (12 most intense, 5° ≤ 2θ ≤ 70°, by angle)
2θ = 11.48°, intensity 37
2θ = 20.37°, intensity 37
2θ = 23.08°, intensity 16
2θ = 26.17°, intensity 32
2θ = 30.69°, intensity 39
2θ = 33.90°, intensity 25
2θ = 35.17°, intensity 100
2θ = 46.38°, intensity 25
2θ = 54.57°, intensity 19
2θ = 61.48°, intensity 20
2θ = 65.81°, intensity 21
2θ = 66.60°, intensity 16

=====

No. 4
Computed XRD peak list of LuMg for Cu Kα (weighted mean of Kα1 and Kα2), from DFT lattice parameters and positions (GGA-PBE).
Neutral-atom scattering factors, no anomalous dispersion.

Structural model:
```
data_LuMg
_chemical_formula_sum 'Lu4 Mg4'
_symmetry_space_group_name_H-M 'P 1'
_symmetry_Int_Tables_number 1
_cell_length_a 5.372
_cell_length_b 6.780
_cell_length_c 5.848
_cell_angle_alpha 90.00
_cell_angle_beta 90.00
_cell_angle_gamma 90.00
loop_
_symmetry_equiv_pos_as_xyz
'x,y,z'
loop_
_atom_site_label
_atom_site_type_symbol
_atom_site_fract_x
_atom_site_fract_y
_atom_site_fract_z
_atom_site_occupancy
Lu1 Lu 0.000 0.000 0.000 1
Lu2 Lu 0.000 0.249 0.507 1
Lu3 Lu 0.000 0.751 0.507 1
Lu4 Lu 0.500 0.000 0.346 1
Mg1 Mg 0.000 0.500 0.013 1
Mg2 Mg 0.500 0.252 0.837 1
Mg3 Mg 0.500 0.500 0.332 1
Mg4 Mg 0.500 0.748 0.837 1
```

Peak list (12 most intense, 5° ≤ 2θ ≤ 70°, by angle)
2θ = 13.06°, intensity 30
2θ = 15.15°, intensity 16
2θ = 16.50°, intensity 18
2θ = 26.08°, intensity 19
2θ = 30.51°, intensity 32
2θ = 33.36°, intensity 26
2θ = 34.88°, intensity 100
2θ = 45.83°, intensity 21
2θ = 54.29°, intensity 12
2θ = 60.61°, intensity 20
2θ = 65.23°, intensity 14
2θ = 66.04°, intensity 10

=====

No. 5
Computed XRD peak list of LuMg for Cu Kα (weighted mean of Kα1 and Kα2), from DFT lattice parameters and positions (GGA-PBE).
Neutral-atom scattering factors, no anomalous dispersion.

Structural model:
```
data_LuMg
_chemical_formula_sum 'Lu6 Mg6'
_symmetry_space_group_name_H-M 'P 1'
_symmetry_Int_Tables_number 1
_cell_length_a 5.432
_cell_length_b 10.096
_cell_length_c 5.782
_cell_angle_alpha 90.00
_cell_angle_beta 90.00
_cell_angle_gamma 90.00
loop_
_symmetry_equiv_pos_as_xyz
'x,y,z'
loop_
_atom_site_label
_atom_site_type_symbol
_atom_site_fract_x
_atom_site_fract_y
_atom_site_fract_z
_atom_site_occupancy
Lu1 Lu 0.000 0.079 0.000 1
Lu2 Lu 0.000 0.257 0.510 1
Lu3 Lu 0.000 0.743 0.010 1
Lu4 Lu 0.000 0.921 0.500 1
Lu5 Lu 0.500 0.254 0.169 1
Lu6 Lu 0.500 0.746 0.669 1
Mg1 Mg 0.000 0.419 0.001 1
Mg2 Mg 0.000 0.581 0.501 1
Mg3 Mg 0.500 0.084 0.664 1
Mg4 Mg 0.500 0.418 0.675 1
Mg5 Mg 0.500 0.582 0.175 1
Mg6 Mg 0.500 0.916 0.164 1
```

Peak list (12 most intense, 5° ≤ 2θ ≤ 70°, by angle)
2θ = 8.76°, intensity 30
2θ = 17.57°, intensity 22
2θ = 24.14°, intensity 43
2θ = 30.74°, intensity 26
2θ = 32.98°, intensity 38
2θ = 34.99°, intensity 100
2θ = 35.16°, intensity 49
2θ = 45.70°, intensity 18
2θ = 54.89°, intensity 18
2θ = 60.20°, intensity 21
2θ = 65.54°, intensity 22
2θ = 66.56°, intensity 15

=====

No. 6
Computed XRD peak list of LuMg for Cu Kα (weighted mean of Kα1 and Kα2), from DFT lattice parameters and positions (GGA-PBE).
Neutral-atom scattering factors, no anomalous dispersion.

Structural model:
```
data_LuMg
_chemical_formula_sum 'Lu2 Mg2'
_symmetry_space_group_name_H-M 'P 1'
_symmetry_Int_Tables_number 1
_cell_length_a 5.284
_cell_length_b 3.717
_cell_length_c 5.291
_cell_angle_alpha 90.00
_cell_angle_beta 90.00
_cell_angle_gamma 90.00
loop_
_symmetry_equiv_pos_as_xyz
'x,y,z'
loop_
_atom_site_label
_atom_site_type_symbol
_atom_site_fract_x
_atom_site_fract_y
_atom_site_fract_z
_atom_site_occupancy
Lu1 Lu 0.250 0.000 0.239 1
Lu2 Lu 0.750 0.000 0.761 1
Mg1 Mg 0.250 0.500 0.737 1
Mg2 Mg 0.750 0.500 0.263 1
```

Peak list (12 most intense, 5° ≤ 2θ ≤ 70°, by angle)
2θ = 23.80°, intensity 67
2θ = 23.94°, intensity 33
2θ = 33.91°, intensity 50
2θ = 34.01°, intensity 100
2θ = 41.94°, intensity 31
2θ = 48.71°, intensity 18
2θ = 49.02°, intensity 9
2θ = 54.91°, intensity 14
2θ = 54.98°, intensity 14
2θ = 55.19°, intensity 14
2θ = 60.74°, intensity 37
2θ = 60.94°, intensity 19

=====

No. 7
Computed XRD peak list of NdLuMg for Cu Kα (weighted mean of Kα1 and Kα2), from DFT lattice parameters and positions (GGA-PBE).
Neutral-atom scattering factors, no anomalous dispersion.

Structural model:
```
data_NdLuMg
_chemical_formula_sum 'Nd1 Lu1 Mg1'
_symmetry_space_group_name_H-M 'P 1'
_symmetry_Int_Tables_number 1
_cell_length_a 5.220
_cell_length_b 5.220
_cell_length_c 5.220
_cell_angle_alpha 60.00
_cell_angle_beta 60.00
_cell_angle_gamma 60.00
loop_
_symmetry_equiv_pos_as_xyz
'x,y,z'
loop_
_atom_site_label
_atom_site_type_symbol
_atom_site_fract_x
_atom_site_fract_y
_atom_site_fract_z
_atom_site_occupancy
Nd1 Nd 0.000 0.000 0.000 1
Lu1 Lu 0.750 0.750 0.750 1
Mg1 Mg 0.500 0.500 0.500 1
```

Peak list (7 most intense, 5° ≤ 2θ ≤ 70°, by angle)
2θ = 20.84°, intensity 87
2θ = 34.36°, intensity 100
2θ = 40.53°, intensity 48
2θ = 49.38°, intensity 18
2θ = 54.16°, intensity 21
2θ = 61.54°, intensity 37
2θ = 65.73°, intensity 15

=====

No. 8
Computed XRD peak list of RbLuMgS3 for Cu Kα (weighted mean of Kα1 and Kα2), from DFT lattice parameters and positions (GGA-PBE).
Neutral-atom scattering factors, no anomalous dispersion.

Structural model:
```
data_RbLuMgS3
_chemical_formula_sum 'Rb2 Lu2 Mg2 S6'
_symmetry_space_group_name_H-M 'P 1'
_symmetry_Int_Tables_number 1
_cell_length_a 8.875
_cell_length_b 4.053
_cell_length_c 9.831
_cell_angle_alpha 90.00
_cell_angle_beta 109.65
_cell_angle_gamma 90.00
loop_
_symmetry_equiv_pos_as_xyz
'x,y,z'
loop_
_atom_site_label
_atom_site_type_symbol
_atom_site_fract_x
_atom_site_fract_y
_atom_site_fract_z
_atom_site_occupancy
Rb1 Rb 0.219 0.250 0.236 1
Rb2 Rb 0.781 0.750 0.764 1
Lu1 Lu 0.333 0.750 0.870 1
Lu2 Lu 0.667 0.250 0.130 1
Mg1 Mg 0.086 0.250 0.613 1
Mg2 Mg 0.914 0.750 0.387 1
S1 S 0.126 0.250 0.866 1
S2 S 0.199 0.750 0.551 1
S3 S 0.475 0.750 0.150 1
S4 S 0.525 0.250 0.850 1
S5 S 0.801 0.250 0.449 1
S6 S 0.874 0.750 0.134 1
```

Peak list (12 most intense, 5° ≤ 2θ ≤ 70°, by angle)
2θ = 9.55°, intensity 88
2θ = 11.64°, intensity 97
2θ = 21.26°, intensity 26
2θ = 23.40°, intensity 35
2θ = 23.97°, intensity 39
2θ = 28.93°, intensity 28
2θ = 29.96°, intensity 100
2θ = 30.73°, intensity 47
2θ = 34.19°, intensity 32
2θ = 40.97°, intensity 24
2θ = 43.92°, intensity 25
2θ = 48.93°, intensity 25